Record 1
Simulated PXRD pattern
Compound: Lu3Mg2TiS8
Radiation: Cu Kα, 1.54184 Å
Structure: a crystal structure in the Materials Project, relaxed with GGA-PBE
Kinematic intensities with the Lorentz-polarization factor, no thermal factor.

Structure:
a b c (Å): 7.6252 7.6252 7.6252
angles (deg): 60.77 60.77 60.77
Fractional coordinates of all 14 atoms:
Lu (0.0000, 0.5000, 0.5000)
Lu (0.5000, 0.0000, 0.5000)
Lu (0.5000, 0.5000, 0.0000)
Mg (0.1248, 0.1248, 0.1248)
Mg (0.8752, 0.8752, 0.8752)
Ti (0.5000, 0.5000, 0.5000)
S (0.2558, 0.2558, 0.2558)
S (0.2646, 0.2646, 0.7290)
S (0.2646, 0.7290, 0.2646)
S (0.2710, 0.7354, 0.7354)
S (0.7290, 0.2646, 0.2646)
S (0.7354, 0.2710, 0.7354)
S (0.7354, 0.7354, 0.2710)
S (0.7442, 0.7442, 0.7442)

Principal peaks in the range 10° ≤ 2θ ≤ 90°, in order of rising 2θ:
14.09°, rel. 56.8
14.31°, rel. 74.1
27.12°, rel. 71.2
27.24°, rel. 33.4
27.48°, rel. 17.6
28.40°, rel. 21.7
33.04°, rel. 100.0
36.17°, rel. 25.2
43.57°, rel. 19.7
47.13°, rel. 45.0
47.71°, rel. 43.8
49.49°, rel. 25.0

Record 2
Simulated PXRD pattern
Compound: LaNiSb
Radiation: Cu Kα, 1.54184 Å
Structure: a crystal structure in the Materials Project, relaxed with GGA-PBE
Kinematic intensities with the Lorentz-polarization factor, no thermal factor.

Structure:
a b c (Å): 4.4343 4.4343 8.3938
angles (deg): 90.00 90.00 120.00
Fractional coordinates of all 6 atoms:
La (0.0000, 0.0000, 0.0000)
La (0.0000, 0.0000, 0.5000)
Ni (0.3333, 0.6667, 0.2500)
Ni (0.6667, 0.3333, 0.7500)
Sb (0.3333, 0.6667, 0.7500)
Sb (0.6667, 0.3333, 0.2500)

Principal peaks in the range 10° ≤ 2θ ≤ 90°, in order of rising 2θ:
25.51°, rel. 7.5
31.58°, rel. 100.0
40.69°, rel. 49.1
43.11°, rel. 13.9
52.40°, rel. 23.6
60.77°, rel. 29.3
68.39°, rel. 20.8
71.82°, rel. 9.0
74.06°, rel. 8.1
85.97°, rel. 5.7
88.12°, rel. 5.3
89.73°, rel. 10.1